H9PbC3I: theoretical powder XRD pattern (Cu Kα X-rays), based on a cell relaxed with PBE.
Lines closer than 0.1° are merged.

Atomic structure:
a b c (Å): 6.7009 10.5945 11.5412
angles (deg): 90.00 90.00 90.00
Space group P2_12_12_1 (No. 19)
Inequivalent atoms, fractional coordinates:
H 0.0569 0.0241 0.4451 [4 per cell]
H 0.0775 0.2194 0.0211 [4 per cell]
H 0.1217 0.3389 0.6799 [4 per cell]
H 0.1361 0.2300 0.8000 [4 per cell]
H 0.1898 0.1764 0.6545 [4 per cell]
H 0.1950 0.8382 0.5853 [4 per cell]
H 0.2144 0.8867 0.9329 [4 per cell]
H 0.2386 0.9841 0.3350 [4 per cell]
H 0.2422 0.3274 0.0956 [4 per cell]
Pb 0.0214 0.1933 0.2607 [4 per cell]
C 0.1714 0.0600 0.3859 [4 per cell]
C 0.1842 0.2311 0.0922 [4 per cell]
C 0.1968 0.2557 0.7151 [4 per cell]
I 0.1789 0.4361 0.3793 [4 per cell]

Main lines, low angle first (2θ = 10–90°):
15.31 deg, 5.789 Å, intensity 100, hkl 1 0 1
17.47 deg, 5.075 Å, intensity 15, hkl 0 1 2
22.76 deg, 3.907 Å, intensity 33, hkl 0 2 2
26.42 deg, 3.373 Å, intensity 24, hkl 1 2 2
28.68 deg, 3.113 Å, intensity 11, hkl 0 2 3
31.66 deg, 2.826 Å, intensity 24, hkl 2 2 0
32.56 deg, 2.750 Å, intensity 14, hkl 2 2 1
34.75 deg, 2.582 Å, intensity 15, hkl 0 4 1
36.49 deg, 2.462 Å, intensity 12, hkl 1 4 0
41.32 deg, 2.185 Å, intensity 13, hkl 2 0 4